No. 1
This entry pairs a crystal structure of Cs6K2Cl with its theoretical PXRD pattern. Radiation: CuKα. Structure: a crystal structure in Alexandria, relaxed with GGA-PBE.

Structural model:
```
data_Cs6K2Cl
_chemical_formula_sum 'Cs6 K2 Cl1'
_cell_length_a 10.1765
_cell_length_b 10.1765
_cell_length_c 10.6109
_cell_angle_alpha 121.08
_cell_angle_beta 121.08
_cell_angle_gamma 72.91
_space_group_name_H-M_alt 'P 1'
_space_group_IT_number 1
_space_group_name_Hall 'P 1'
loop_
_atom_site_label
_atom_site_fract_x
_atom_site_fract_y
_atom_site_fract_z
Cs1 0.2053 0.7932 0.7578
Cs2 0.2068 0.7947 0.2422
Cs3 0.2779 0.2779 0.2763
Cs4 0.7221 0.7221 0.7237
Cs5 0.7932 0.2053 0.7578
Cs6 0.7947 0.2068 0.2422
K1 0.2939 0.2939 0.7949
K2 0.7061 0.7061 0.2051
Cl1 0.0000 0.0000 0.0000
```

Largest 8 diffraction maxima, low angle first, 2θ from 10° to 90°:
two_theta	d_spacing	Rel. int.
11.09	7.976	34.6
20.39	4.355	94.9
21.85	4.068	49.2
22.03	4.035	47.8
22.29	3.988	100.0
23.17	3.838	23.0
28.44	3.138	25.2
33.78	2.654	23.7



No. 2
This entry pairs a crystal structure of Tm3Mg2Au3 with its theoretical PXRD pattern. Radiation: CuKα. Structure: a crystal structure in Alexandria, relaxed with GGA-PBE.

Structural model:
```
data_Tm3Mg2Au3
_chemical_formula_sum 'Tm6 Mg4 Au6'
_cell_length_a 8.4900
_cell_length_b 8.4900
_cell_length_c 5.7535
_cell_angle_alpha 90.00
_cell_angle_beta 90.00
_cell_angle_gamma 120.00
_space_group_name_H-M_alt 'P 1'
_space_group_IT_number 1
_space_group_name_Hall 'P 1'
loop_
_atom_site_label
_atom_site_fract_x
_atom_site_fract_y
_atom_site_fract_z
Tm1 0.0000 0.2602 0.2500
Tm2 0.0000 0.7398 0.7500
Tm3 0.2602 0.0000 0.2500
Tm4 0.2602 0.2602 0.7500
Tm5 0.7398 0.0000 0.7500
Tm6 0.7398 0.7398 0.2500
Mg1 0.3333 0.6667 0.0000
Mg2 0.3333 0.6667 0.5000
Mg3 0.6667 0.3333 0.0000
Mg4 0.6667 0.3333 0.5000
Au1 0.0000 0.3905 0.7500
Au2 0.0000 0.6095 0.2500
Au3 0.3905 0.0000 0.7500
Au4 0.3905 0.3905 0.2500
Au5 0.6095 0.0000 0.2500
Au6 0.6095 0.6095 0.7500
```

Largest 8 diffraction maxima, low angle first, 2θ from 10° to 90°:
two_theta	d_spacing	Rel. int.
20.93	4.245	50.5
31.09	2.877	43.4
35.89	2.502	100.0
36.67	2.451	34.5
37.78	2.381	36.5
47.29	1.922	26.2
48.82	1.866	22.3
58.47	1.578	24.7



No. 3
This entry pairs a crystal structure of Sr3Tb3PuTe8 with its theoretical PXRD pattern. Radiation: CuKα. Structure: a crystal structure in Alexandria, relaxed with GGA-PBE.

Structural model:
```
data_Sr3Tb3PuTe8
_chemical_formula_sum 'Sr3 Tb3 Pu1 Te8'
_cell_length_a 9.1996
_cell_length_b 9.1996
_cell_length_c 9.1996
_cell_angle_alpha 58.15
_cell_angle_beta 58.15
_cell_angle_gamma 58.15
_space_group_name_H-M_alt 'P 1'
_space_group_IT_number 1
_space_group_name_Hall 'P 1'
loop_
_atom_site_label
_atom_site_fract_x
_atom_site_fract_y
_atom_site_fract_z
Sr1 0.0000 0.5000 0.5000
Sr2 0.5000 0.0000 0.5000
Sr3 0.5000 0.5000 0.0000
Tb1 0.0000 0.0000 0.5000
Tb2 0.0000 0.5000 0.0000
Tb3 0.5000 0.0000 0.0000
Pu1 0.5000 0.5000 0.5000
Te1 0.2349 0.7498 0.7498
Te2 0.2439 0.2439 0.2439
Te3 0.2502 0.2502 0.7651
Te4 0.2502 0.7651 0.2502
Te5 0.7498 0.2349 0.7498
Te6 0.7498 0.7498 0.2349
Te7 0.7561 0.7561 0.7561
Te8 0.7651 0.2502 0.2502
```

Largest 8 diffraction maxima, low angle first, 2θ from 10° to 90°:
two_theta	d_spacing	Rel. int.
11.62	7.615	18.6
27.84	3.205	100.0
39.20	2.298	38.9
40.35	2.235	37.1
49.74	1.833	23.4
57.52	1.602	12.6
64.27	1.449	17.2
65.89	1.418	18.4



No. 4
This entry pairs a crystal structure of RbEr2Hf2O7 with its theoretical PXRD pattern. Radiation: CuKα. Structure: a crystal structure in Alexandria, relaxed with GGA-PBE.

Structural model:
```
data_RbEr2Hf2O7
_chemical_formula_sum 'Rb1 Er2 Hf2 O7'
_cell_length_a 9.6793
_cell_length_b 9.6793
_cell_length_c 9.6793
_cell_angle_alpha 154.30
_cell_angle_beta 37.47
_cell_angle_gamma 153.20
_space_group_name_H-M_alt 'P 1'
_space_group_IT_number 1
_space_group_name_Hall 'P 1'
loop_
_atom_site_label
_atom_site_fract_x
_atom_site_fract_y
_atom_site_fract_z
Rb1 0.0000 0.0000 0.0000
Er1 0.2228 0.4782 0.7445
Er2 0.7337 0.4782 0.2555
Hf1 0.3979 0.0069 0.3910
Hf2 0.6159 0.0069 0.6090
O1 0.0817 0.4599 0.6218
O2 0.2487 0.9760 0.2727
O3 0.3517 0.4774 0.8743
O4 0.4825 0.9825 0.5000
O5 0.6031 0.4774 0.1257
O6 0.7033 0.9760 0.7273
O7 0.8380 0.4599 0.3782
```

Largest 8 diffraction maxima, low angle first, 2θ from 10° to 90°:
two_theta	d_spacing	Rel. int.
25.31	3.519	28.3
30.38	2.942	100.0
31.51	2.839	39.8
34.89	2.571	64.2
39.32	2.292	31.3
40.20	2.243	40.1
41.98	2.152	36.6
58.46	1.579	35.0



No. 5
This entry pairs a crystal structure of Dy8InSb2 with its theoretical PXRD pattern. Radiation: CuKα. Structure: a crystal structure in Alexandria, relaxed with GGA-PBE.

Structural model:
```
data_Dy8InSb2
_chemical_formula_sum 'Dy8 In1 Sb2'
_cell_length_a 9.9100
_cell_length_b 9.9100
_cell_length_c 6.9684
_cell_angle_alpha 101.08
_cell_angle_beta 101.08
_cell_angle_gamma 29.12
_space_group_name_H-M_alt 'P 1'
_space_group_IT_number 1
_space_group_name_Hall 'P 1'
loop_
_atom_site_label
_atom_site_fract_x
_atom_site_fract_y
_atom_site_fract_z
Dy1 0.0179 0.0179 0.2580
Dy2 0.2150 0.2150 0.8429
Dy3 0.3381 0.3381 0.4821
Dy4 0.4070 0.4070 0.0155
Dy5 0.5930 0.5930 0.9845
Dy6 0.6619 0.6619 0.5179
Dy7 0.7850 0.7850 0.1571
Dy8 0.9821 0.9821 0.7420
In1 0.5000 0.5000 0.5000
Sb1 0.1799 0.1799 0.2671
Sb2 0.8201 0.8201 0.7329
```

Largest 8 diffraction maxima, low angle first, 2θ from 10° to 90°:
two_theta	d_spacing	Rel. int.
27.70	3.220	21.1
28.89	3.090	18.1
29.76	3.002	43.0
31.33	2.855	100.0
32.91	2.721	18.7
34.49	2.600	26.2
36.05	2.492	50.5
38.04	2.366	23.2



No. 6
This entry pairs a crystal structure of InHgI2 with its theoretical PXRD pattern. Radiation: CuKα. Structure: a crystal structure in Alexandria, relaxed with GGA-PBE.

Structural model:
```
data_InHgI2
_chemical_formula_sum 'In2 Hg2 I4'
_cell_length_a 7.2570
_cell_length_b 7.8501
_cell_length_c 7.9017
_cell_angle_alpha 105.40
_cell_angle_beta 101.93
_cell_angle_gamma 114.72
_space_group_name_H-M_alt 'P 1'
_space_group_IT_number 1
_space_group_name_Hall 'P 1'
loop_
_atom_site_label
_atom_site_fract_x
_atom_site_fract_y
_atom_site_fract_z
In1 0.0000 0.0000 0.0000
In2 0.3776 0.7980 0.5457
Hg1 0.2479 0.3820 0.9012
Hg2 0.7627 0.5320 0.9442
I1 0.0118 0.4178 0.3642
I2 0.3497 0.0955 0.4373
I3 0.4440 0.9304 0.9303
I4 0.7381 0.7797 0.5065
```

Largest 8 diffraction maxima, low angle first, 2θ from 10° to 90°:
two_theta	d_spacing	Rel. int.
23.30	3.818	16.0
23.94	3.717	34.8
24.34	3.658	23.9
25.08	3.551	100.0
25.67	3.470	46.6
29.24	3.054	19.8
30.38	2.942	24.4
37.03	2.428	18.8